# ErMg6Cd6
Calculated powder XRD pattern, Cu Kα (λ = 1.5418 Å). Input: a crystal structure in Alexandria, relaxed with PBE.

Peak list (6 most intense, 2θ from 10° to 80°, in order of falling intensity)
2θ/deg  d (Å)  intensity
35.87  2.504  100
35.40  2.536  92
25.07  3.552  50
39.90  2.260  45
17.84  4.973  44
12.55  7.054  33

Structure:
a = 7.6439 Å, b = 7.6439 Å, c = 7.6439 Å
α = 134.71°, β = 98.84°, γ = 98.21°
Element x y z (fractional)
1 Er 0.0000 0.0000 0.0000
2 Mg 0.2072 0.7072 0.5000
3 Mg 0.3488 0.3488 0.0000
4 Mg 0.3499 0.0000 0.3499
5 Mg 0.6501 0.0000 0.6501
6 Mg 0.6512 0.6512 0.0000
7 Mg 0.7928 0.2928 0.5000
8 Cd 0.0000 0.0000 0.5000
9 Cd 0.0000 0.5000 0.0000
10 Cd 0.2120 0.5000 0.7120
11 Cd 0.5000 0.0000 0.0000
12 Cd 0.5000 0.5000 0.5000
13 Cd 0.7880 0.5000 0.2880

=====

# RbNbFeHPd
Calculated powder XRD pattern, Cu Kα (λ = 1.5418 Å). Input: a crystal structure in Alexandria, relaxed with PBE.

Peak list (6 most intense, 2θ from 10° to 80°, in order of falling intensity)
2θ/deg  d (Å)  intensity
34.97  2.566  100
10.31  8.578  65
39.81  2.264  62
51.28  1.782  32
69.16  1.358  26
42.38  2.133  24

Structure:
a = 3.2019 Å, b = 3.2019 Å, c = 8.5776 Å
α = 90.00°, β = 90.00°, γ = 90.00°
Element x y z (fractional)
1 Rb 0.0000 0.0000 0.0000
2 Nb 0.0000 0.0000 0.4710
3 Fe 0.5000 0.5000 0.3402
4 H 0.5000 0.5000 0.1570
5 Pd 0.5000 0.5000 0.6628